Entry 1:
This entry pairs a crystal structure of Ba6Fe25S27 with its calculated powder X-ray diffraction pattern. Radiation: Cu Kα, 1.54184 Å. Structure: DFT lattice parameters and positions (GGA-PBE).
Peak positions follow from Bragg's law for the DFT cell and can differ from measured ones.

Most intense lines, 2θ from 5° to 70°, in order of falling intensity:
- 2θ 52.73, I = 1000
- 2θ 31.56, I = 879
- 2θ 28.75, I = 823
- 2θ 40.02, I = 742
- 2θ 27.24, I = 670
- 2θ 30.18, I = 409
- 2θ 63.56, I = 267
- 2θ 48.15, I = 249

Atomic structure:
```
58
Lattice="9.8201 0.0000 0.0000 0.0000 9.8201 0.0000 0.0000 0.0000 9.8201" Properties=species:S:1:pos:R:3 pbc="T T T"
Ba 0.0000 0.0000 3.0060
Ba 0.0000 0.0000 6.8141
Ba 0.0000 3.0060 0.0000
Ba 0.0000 6.8141 0.0000
Ba 3.0060 0.0000 0.0000
Ba 6.8141 0.0000 0.0000
Fe 1.3586 3.6040 3.6040
Fe 1.3586 3.6040 6.2161
Fe 1.3586 6.2161 3.6040
Fe 1.3586 6.2161 6.2161
Fe 3.6040 1.3586 3.6040
Fe 3.6040 1.3586 6.2161
Fe 3.6040 3.6040 1.3586
Fe 3.6040 3.6040 8.4615
Fe 3.6040 6.2161 1.3586
Fe 3.6040 6.2161 8.4615
Fe 3.6040 8.4615 3.6040
Fe 3.6040 8.4615 6.2161
Fe 4.9100 4.9100 4.9100
Fe 6.2161 1.3586 3.6040
Fe 6.2161 1.3586 6.2161
Fe 6.2161 3.6040 1.3586
Fe 6.2161 3.6040 8.4615
Fe 6.2161 6.2161 1.3586
Fe 6.2161 6.2161 8.4615
Fe 6.2161 8.4615 3.6040
Fe 6.2161 8.4615 6.2161
Fe 8.4615 3.6040 3.6040
Fe 8.4615 3.6040 6.2161
Fe 8.4615 6.2161 3.6040
Fe 8.4615 6.2161 6.2161
S 0.0000 0.0000 0.0000
S 0.0000 2.5052 4.9100
S 0.0000 4.9100 2.5052
S 0.0000 4.9100 7.3149
S 0.0000 7.3149 4.9100
S 2.2110 2.2110 2.2110
S 2.2110 2.2110 7.6091
S 2.2110 7.6091 2.2110
S 2.2110 7.6091 7.6091
S 2.5052 0.0000 4.9100
S 2.5052 4.9100 0.0000
S 2.5783 4.9100 4.9100
S 4.9100 0.0000 2.5052
S 4.9100 0.0000 7.3149
S 4.9100 2.5052 0.0000
S 4.9100 2.5783 4.9100
S 4.9100 4.9100 2.5783
S 4.9100 4.9100 7.2418
S 4.9100 7.2418 4.9100
S 4.9100 7.3149 0.0000
S 7.2418 4.9100 4.9100
S 7.3149 0.0000 4.9100
S 7.3149 4.9100 0.0000
S 7.6091 2.2110 2.2110
S 7.6091 2.2110 7.6091
S 7.6091 7.6091 2.2110
S 7.6091 7.6091 7.6091
```

---

Entry 2:
This entry pairs a crystal structure of EuPd3S4 with its calculated powder X-ray diffraction pattern. Radiation: Cu Kα, 1.54184 Å. Structure: DFT lattice parameters and positions (GGA-PBE).
Peak positions follow from Bragg's law for the DFT cell and can differ from measured ones.

Most intense lines, 2θ from 5° to 70°, in order of falling intensity:
- 2θ 32.55, I = 1000
- 2θ 29.64, I = 886
- 2θ 50.69, I = 568
- 2θ 54.46, I = 301
- 2θ 48.72, I = 219
- 2θ 63.23, I = 196
- 2θ 46.69, I = 156
- 2θ 37.76, I = 149

Atomic structure:
```
16
Lattice="6.7389 0.0000 0.0000 0.0000 6.7389 0.0000 0.0000 0.0000 6.7389" Properties=species:S:1:pos:R:3 pbc="T T T"
Eu 0.0000 0.0000 0.0000
Eu 3.3695 3.3695 3.3695
Pd 0.0000 1.6847 3.3695
Pd 0.0000 5.0542 3.3695
Pd 1.6847 3.3695 0.0000
Pd 3.3695 0.0000 1.6847
Pd 3.3695 0.0000 5.0542
Pd 5.0542 3.3695 0.0000
S 1.6847 1.6847 1.6847
S 1.6847 1.6847 5.0542
S 1.6847 5.0542 1.6847
S 1.6847 5.0542 5.0542
S 5.0542 1.6847 1.6847
S 5.0542 1.6847 5.0542
S 5.0542 5.0542 1.6847
S 5.0542 5.0542 5.0542
```

---

Entry 3:
This entry pairs a crystal structure of CePdPt4 with its calculated powder X-ray diffraction pattern. Radiation: Cu Kα, 1.54184 Å. Structure: DFT lattice parameters and positions (GGA-PBE).
Peak positions follow from Bragg's law for the DFT cell and can differ from measured ones.

Most intense lines, 2θ from 5° to 70°, in order of falling intensity:
- 2θ 39.16, I = 1000
- 2θ 43.91, I = 639
- 2θ 38.69, I = 421
- 2θ 40.55, I = 392
- 2θ 19.07, I = 346
- 2θ 57.29, I = 273
- 2θ 63.51, I = 243
- 2θ 27.74, I = 238

Atomic structure:
```
6
Lattice="5.3739 0.0000 0.0000 -2.6870 4.6540 0.0000 0.0000 0.0000 4.4499" Properties=species:S:1:pos:R:3 pbc="T T T"
Ce 0.0000 0.0000 0.0000
Pd 2.6870 1.5513 0.0000
Pt 0.0000 3.1026 0.0000
Pt 2.6870 0.0057 2.2249
Pt 1.3484 2.3241 2.2249
Pt 4.0255 2.3241 2.2249
```

---

Entry 4:
This entry pairs a crystal structure of Ba6Dy2Al4O15 with its calculated powder X-ray diffraction pattern. Radiation: Cu Kα, 1.54184 Å. Structure: DFT lattice parameters and positions (GGA-PBE).
Peak positions follow from Bragg's law for the DFT cell and can differ from measured ones.

Most intense lines, 2θ from 5° to 70°, in order of falling intensity:
- 2θ 30.02, I = 1000
- 2θ 29.59, I = 808
- 2θ 42.66, I = 344
- 2θ 24.91, I = 295
- 2θ 39.35, I = 240
- 2θ 11.88, I = 220
- 2θ 17.20, I = 183
- 2θ 53.08, I = 179

Atomic structure:
```
27
Lattice="14.8973 0.0000 0.0000 0.0000 2.9828 5.1444 0.0000 -2.9828 5.1444" Properties=species:S:1:pos:R:3 pbc="T T T"
Ba 0.0000 0.0000 0.0000
Ba 2.2859 0.0000 7.1019
Ba 4.8219 0.0000 3.8397
Ba 7.4487 0.0000 0.5777
Ba 10.0754 0.0000 3.8397
Ba 12.6114 0.0000 7.1019
Dy 3.7246 0.0000 0.3573
Dy 11.1727 0.0000 0.3573
Al 1.6779 0.0000 3.6800
Al 5.7536 0.0000 7.2759
Al 9.1437 0.0000 7.2759
Al 13.2194 0.0000 3.6800
O 0.0000 0.0000 4.1979
O 0.0000 0.0000 7.8006
O 2.1719 0.0000 1.9776
O 2.5581 -1.3925 4.4200
O 2.5581 1.3925 4.4200
O 5.0474 -1.4681 6.5690
O 5.0474 1.4681 6.5690
O 5.4714 0.0000 9.0350
O 7.4487 0.0000 6.7732
O 9.4259 0.0000 9.0350
O 9.8500 -1.4681 6.5690
O 9.8500 1.4681 6.5690
O 12.3393 -1.3925 4.4200
O 12.3393 1.3925 4.4200
O 12.7255 0.0000 1.9776
```

---

Entry 5:
This entry pairs a crystal structure of NiSe2 with its calculated powder X-ray diffraction pattern. Radiation: Cu Kα, 1.54184 Å. Structure: DFT lattice parameters and positions (GGA-PBE).
Peak positions follow from Bragg's law for the DFT cell and can differ from measured ones.

Most intense lines, 2θ from 5° to 70°, in order of falling intensity:
- 2θ 33.80, I = 1000
- 2θ 35.18, I = 881
- 2θ 46.96, I = 850
- 2θ 30.20, I = 627
- 2θ 52.11, I = 380
- 2θ 49.06, I = 354
- 2θ 61.80, I = 333
- 2θ 55.62, I = 219

Atomic structure:
```
6
Lattice="4.9010 0.0000 0.0000 0.0000 5.9755 0.0000 0.0000 0.0000 3.7134" Properties=species:S:1:pos:R:3 pbc="T T T"
Ni 0.0000 0.0000 0.0000
Ni 2.4505 2.9877 1.8567
Se 1.0266 2.2332 0.0000
Se 1.4239 5.2210 1.8567
Se 3.4771 0.7545 1.8567
Se 3.8743 3.7422 0.0000
```

---

Entry 6:
This entry pairs a crystal structure of NaSrCeNbO6 with its calculated powder X-ray diffraction pattern. Radiation: Cu Kα, 1.54184 Å. Structure: DFT lattice parameters and positions (GGA-PBE).
Peak positions follow from Bragg's law for the DFT cell and can differ from measured ones.

Most intense lines, 2θ from 5° to 70°, in order of falling intensity:
- 2θ 29.84, I = 1000
- 2θ 52.98, I = 402
- 2θ 42.71, I = 365
- 2θ 20.98, I = 311
- 2θ 62.00, I = 220
- 2θ 48.05, I = 123
- 2θ 18.15, I = 117
- 2θ 35.15, I = 81

Atomic structure:
```
10
Lattice="0.0000 4.2339 4.2339 4.2339 0.0000 4.2339 4.2339 4.2339 0.0000" Properties=species:S:1:pos:R:3 pbc="T T T"
Na 0.0000 0.0000 0.0000
Sr 4.2339 4.2339 4.2339
Ce 2.1170 2.1170 2.1170
Nb 6.3509 6.3509 6.3509
O 6.3509 6.3509 4.3402
O 6.3509 4.3402 6.3509
O 8.3616 6.3509 6.3509
O 4.3402 6.3509 6.3509
O 6.3509 8.3616 6.3509
O 6.3509 6.3509 8.3616
```